The following is a calculated XRD peak list of Zr24P8H. It was derived from a structure optimized by DFT (GGA-PBE), using a wavelength of 1.5418 Å.
Peak positions follow from Bragg's law for the DFT cell and can differ from measured ones.

Atomic structure:
```
data_Zr24P8H
_space_group_name_H-M_alt 'P 1 2 1'
_space_group_IT_number 3
_space_group_name_Hall 'P 2y'
_cell_length_a 10.8667
_cell_length_b 5.3986
_cell_length_c 10.8678
_cell_angle_alpha 90.00
_cell_angle_beta 90.07
_cell_angle_gamma 90.00
loop_
_atom_site_label
_atom_site_type_symbol
_atom_site_fract_x
_atom_site_fract_y
_atom_site_fract_z
Zr1 Zr 0.0264 0.0556 0.1374
Zr2 Zr 0.0846 0.3141 0.6070
Zr3 Zr 0.1074 0.8134 0.4153
Zr4 Zr 0.1380 0.4996 0.9730
Zr5 Zr 0.1796 0.7909 0.7147
Zr6 Zr 0.2148 0.2919 0.3206
Zr7 Zr 0.2832 0.7638 0.1807
Zr8 Zr 0.3192 0.2595 0.7832
Zr9 Zr 0.3626 0.5543 0.5272
Zr10 Zr 0.3901 0.2449 0.0867
Zr11 Zr 0.4132 0.7380 0.8894
Zr12 Zr 0.4726 0.0000 0.3632
P1 P 0.0406 0.5634 0.2065
P2 P 0.2065 0.9907 0.9594
P3 P 0.2932 0.0625 0.5406
P4 P 0.4589 0.4915 0.2939
H1 H 0.5000 0.9907 0.0000
```

Largest 10 diffraction maxima, in order of rising 2θ, 10° ≤ 2θ ≤ 80°:
- 2θ 30.84, intensity 38, hkl 1 1 3
- 2θ 34.07, intensity 100, hkl 3 1 2
- 2θ 35.03, intensity 35, hkl 3 0 3
- 2θ 35.24, intensity 56, hkl 1 2 1
- 2θ 37.01, intensity 55, hkl 2 0 -4
- 2θ 37.19, intensity 18, hkl 0 2 2
- 2θ 37.99, intensity 74, hkl 1 1 4
- 2θ 40.86, intensity 20, hkl 2 2 2
- 2θ 42.41, intensity 19, hkl 5 0 -1
- 2θ 42.59, intensity 25, hkl 1 2 -3

---

The following is a calculated XRD peak list of HPd. It was derived from a structure optimized by DFT (GGA-PBE), using a wavelength of 1.5418 Å.
Peak positions follow from Bragg's law for the DFT cell and can differ from measured ones.

Atomic structure:
```
data_HPd
_space_group_name_H-M_alt 'F m -3 m'
_space_group_IT_number 225
_space_group_name_Hall '-F 4 2 3'
_cell_length_a 4.1402
_cell_length_b 4.1402
_cell_length_c 4.1402
_cell_angle_alpha 90.00
_cell_angle_beta 90.00
_cell_angle_gamma 90.00
loop_
_atom_site_label
_atom_site_type_symbol
_atom_site_fract_x
_atom_site_fract_y
_atom_site_fract_z
H1 H 0.0000 0.0000 0.0000
Pd1 Pd 0.0000 0.0000 0.5000
```

Largest 4 diffraction maxima, in order of rising 2θ, 10° ≤ 2θ ≤ 80°:
- 2θ 37.63, intensity 100, hkl 1 1 1
- 2θ 43.73, intensity 51, hkl 2 0 0
- 2θ 63.56, intensity 33, hkl 2 2 0
- 2θ 76.28, intensity 37, hkl 3 1 1

---

The following is a calculated XRD peak list of H3Pd4. It was derived from a structure optimized by DFT (GGA-PBE), using a wavelength of 1.5418 Å.
Peak positions follow from Bragg's law for the DFT cell and can differ from measured ones.

Atomic structure:
```
data_H3Pd4
_space_group_name_H-M_alt 'R -3 m'
_space_group_IT_number 166
_space_group_name_Hall '-R 3 2"'
_cell_length_a 2.9066
_cell_length_b 2.9066
_cell_length_c 28.3548
_cell_angle_alpha 90.00
_cell_angle_beta 90.00
_cell_angle_gamma 120.00
loop_
_atom_site_label
_atom_site_type_symbol
_atom_site_fract_x
_atom_site_fract_y
_atom_site_fract_z
H1 H 0.0000 0.0000 0.0000
H2 H 0.0000 0.0000 0.2403
Pd1 Pd 0.0000 0.0000 0.1258
Pd2 Pd 0.0000 0.0000 0.3752
```

Largest 7 diffraction maxima, in order of rising 2θ, 10° ≤ 2θ ≤ 80°:
- 2θ 37.93, intensity 100, hkl 1 0 4
- 2θ 38.08, intensity 33, hkl 0 0 12
- 2θ 44.13, intensity 67, hkl 0 1 8
- 2θ 64.07, intensity 21, hkl 1 1 0
- 2θ 64.28, intensity 21, hkl 1 0 16
- 2θ 77.00, intensity 37, hkl 1 1 12
- 2θ 77.23, intensity 12, hkl 0 1 20

---

The following is a calculated XRD peak list of HPd3. It was derived from a structure optimized by DFT (GGA-PBE), using a wavelength of 1.5418 Å.
Peak positions follow from Bragg's law for the DFT cell and can differ from measured ones.

Atomic structure:
```
data_HPd3
_space_group_name_H-M_alt 'P 63/m m c'
_space_group_IT_number 194
_space_group_name_Hall '-P 6c 2c'
_cell_length_a 5.5507
_cell_length_b 5.5507
_cell_length_c 4.0810
_cell_angle_alpha 90.00
_cell_angle_beta 90.00
_cell_angle_gamma 120.00
loop_
_atom_site_label
_atom_site_type_symbol
_atom_site_fract_x
_atom_site_fract_y
_atom_site_fract_z
H1 H 0.3333 0.6667 0.2500
Pd1 Pd 0.1744 0.3489 0.7500
```

Largest 10 diffraction maxima, in order of rising 2θ, 10° ≤ 2θ ≤ 80°:
- 2θ 18.46, intensity 7, hkl 1 0 0
- 2θ 28.69, intensity 44, hkl 1 0 1
- 2θ 32.25, intensity 16, hkl 1 1 0
- 2θ 37.42, intensity 26, hkl 2 0 0
- 2θ 43.71, intensity 100, hkl 2 0 1
- 2θ 44.40, intensity 22, hkl 0 0 2
- 2θ 50.21, intensity 7, hkl 2 1 0
- 2θ 55.93, intensity 7, hkl 1 1 2
- 2θ 59.42, intensity 13, hkl 2 0 2
- 2θ 67.50, intensity 17, hkl 2 2 0

---

Please write out number 1 again, unchanged.
The following is a calculated XRD peak list of Zr24P8H. It was derived from a structure optimized by DFT (GGA-PBE), using a wavelength of 1.5418 Å.
Peak positions follow from Bragg's law for the DFT cell and can differ from measured ones.

Atomic structure:
```
data_Zr24P8H
_space_group_name_H-M_alt 'P 1 2 1'
_space_group_IT_number 3
_space_group_name_Hall 'P 2y'
_cell_length_a 10.8667
_cell_length_b 5.3986
_cell_length_c 10.8678
_cell_angle_alpha 90.00
_cell_angle_beta 90.07
_cell_angle_gamma 90.00
loop_
_atom_site_label
_atom_site_type_symbol
_atom_site_fract_x
_atom_site_fract_y
_atom_site_fract_z
Zr1 Zr 0.0264 0.0556 0.1374
Zr2 Zr 0.0846 0.3141 0.6070
Zr3 Zr 0.1074 0.8134 0.4153
Zr4 Zr 0.1380 0.4996 0.9730
Zr5 Zr 0.1796 0.7909 0.7147
Zr6 Zr 0.2148 0.2919 0.3206
Zr7 Zr 0.2832 0.7638 0.1807
Zr8 Zr 0.3192 0.2595 0.7832
Zr9 Zr 0.3626 0.5543 0.5272
Zr10 Zr 0.3901 0.2449 0.0867
Zr11 Zr 0.4132 0.7380 0.8894
Zr12 Zr 0.4726 0.0000 0.3632
P1 P 0.0406 0.5634 0.2065
P2 P 0.2065 0.9907 0.9594
P3 P 0.2932 0.0625 0.5406
P4 P 0.4589 0.4915 0.2939
H1 H 0.5000 0.9907 0.0000
```

Largest 10 diffraction maxima, in order of rising 2θ, 10° ≤ 2θ ≤ 80°:
- 2θ 30.84, intensity 38, hkl 1 1 3
- 2θ 34.07, intensity 100, hkl 3 1 2
- 2θ 35.03, intensity 35, hkl 3 0 3
- 2θ 35.24, intensity 56, hkl 1 2 1
- 2θ 37.01, intensity 55, hkl 2 0 -4
- 2θ 37.19, intensity 18, hkl 0 2 2
- 2θ 37.99, intensity 74, hkl 1 1 4
- 2θ 40.86, intensity 20, hkl 2 2 2
- 2θ 42.41, intensity 19, hkl 5 0 -1
- 2θ 42.59, intensity 25, hkl 1 2 -3